# 1
# HgGe4Cl8
Computed powder XRD pattern, Cu Kα (weighted mean of Kα1 and Kα2). Input: the PBE geometry in Alexandria.
Lines closer than 0.1° are merged.

Structural model:
```
data_HgGe4Cl8
_cell_length_a 20.857
_cell_length_b 3.893
_cell_length_c 14.022
_cell_angle_alpha 90.00
_cell_angle_beta 131.40
_cell_angle_gamma 90.00
_space_group_name_H-M_alt 'C 1 m 1'
_space_group_IT_number 8
_space_group_name_Hall 'C -2y'
loop_
_atom_site_label
_atom_site_type_symbol
_atom_site_fract_x
_atom_site_fract_y
_atom_site_fract_z
Hg1 Hg 0.000 0.000 0.000
Ge1 Ge 0.157 0.000 0.475
Ge2 Ge 0.163 0.500 0.838
Ge3 Ge 0.336 0.000 0.161
Ge4 Ge 0.343 0.500 0.525
Cl1 Cl 0.059 0.000 0.758
Cl2 Cl 0.141 0.500 0.577
Cl3 Cl 0.191 0.500 0.357
Cl4 Cl 0.198 0.500 0.038
Cl5 Cl 0.302 0.000 0.961
Cl6 Cl 0.308 0.000 0.642
Cl7 Cl 0.358 0.000 0.423
Cl8 Cl 0.441 0.500 0.241
```

Most intense lines, 2θ from 15° to 90°, sorted by position:
| index | 2θ/deg | intensity |
| --- | --- | --- |
| 0 0 2 | 16.86 | 81.4 |
| 2 0 1 | 18.06 | 93.6 |
| 4 0 -3 | 19.91 | 100.0 |
| 3 1 -1 | 26.39 | 97.0 |
| 3 1 0 | 28.62 | 97.6 |
| 3 1 -3 | 29.87 | 87.1 |
| 5 1 -4 | 34.98 | 94.0 |
| 1 1 4 | 45.04 | 76.2 |

---

# 2
# GePbS
Computed powder XRD pattern, Cu Kα (weighted mean of Kα1 and Kα2). Input: the PBE geometry in Alexandria.
Lines closer than 0.1° are merged.

Structural model:
```
data_GePbS
_cell_length_a 10.943
_cell_length_b 10.599
_cell_length_c 5.516
_cell_angle_alpha 90.00
_cell_angle_beta 90.00
_cell_angle_gamma 90.00
_space_group_name_H-M_alt 'C m c e'
_space_group_IT_number 64
_space_group_name_Hall '-C 2ac 2'
loop_
_atom_site_label
_atom_site_type_symbol
_atom_site_fract_x
_atom_site_fract_y
_atom_site_fract_z
Ge1 Ge 0.000 0.118 0.162
Pb1 Pb 0.250 0.093 0.750
S1 S 0.000 0.157 0.593
```

Most intense lines, 2θ from 15° to 90°, sorted by position:
| index | 2θ/deg | intensity |
| --- | --- | --- |
| 0 2 1 | 23.30 | 40.8 |
| 2 2 1 | 28.49 | 100.0 |
| 0 0 2 | 32.46 | 16.5 |
| 4 0 0 | 32.74 | 31.3 |
| 0 4 0 | 33.83 | 16.6 |
| 2 0 2 | 36.48 | 16.2 |
| 2 4 1 | 41.24 | 20.3 |
| 6 2 1 | 55.86 | 15.9 |

---

# 3
# CsRbZnPO
Computed powder XRD pattern, Cu Kα (weighted mean of Kα1 and Kα2). Input: the PBE geometry in Alexandria.
Lines closer than 0.1° are merged.

Structural model:
```
data_CsRbZnPO
_cell_length_a 13.558
_cell_length_b 5.630
_cell_length_c 4.119
_cell_angle_alpha 90.00
_cell_angle_beta 107.55
_cell_angle_gamma 90.00
_space_group_name_H-M_alt 'C 1 m 1'
_space_group_IT_number 8
_space_group_name_Hall 'C -2y'
loop_
_atom_site_label
_atom_site_type_symbol
_atom_site_fract_x
_atom_site_fract_y
_atom_site_fract_z
Cs1 Cs 0.000 0.000 0.000
Rb1 Rb 0.192 0.500 0.197
Zn1 Zn 0.316 0.000 0.820
P1 P 0.403 0.000 0.407
O1 O 0.029 0.500 0.533
```

Most intense lines, 2θ from 15° to 90°, sorted by position:
| index | 2θ/deg | intensity |
| --- | --- | --- |
| 2 0 -1 | 22.66 | 30.7 |
| 3 1 0 | 26.04 | 72.6 |
| 1 1 1 | 30.23 | 100.0 |
| 0 2 0 | 31.79 | 33.5 |
| 4 0 1 | 41.23 | 25.3 |
| 5 1 -2 | 51.81 | 21.4 |
| 4 2 1 | 52.98 | 24.0 |
| 1 3 1 | 55.67 | 16.7 |